Record 1
Computed X-ray powder pattern of Nd2NbGaO7 for Cu Ka, from a cell relaxed with GGA-PBE.
No peak broadening, texture or thermal motion is included.

Crystal structure
abc: 7.3490 7.5178 10.5431
angles: 90.00 90.00 90.00
Space group Imma (No. 74)
Inequivalent atoms, fractional coordinates:
Nd 0.0000 0.0000 0.0000 x4
Nd 0.2500 0.2500 0.2500 x4
Nb 0.0000 0.0000 0.5000 x4
Ga 0.2500 0.2500 0.7500 x4
O 0.0000 0.2500 0.1260 x4
O 0.0000 0.2500 0.4220 x4
O 0.0000 0.2500 0.8291 x4
O 0.2010 0.0453 0.6241 x16

Main lines, by angle (2θ = 10–90°):
29.2°, I 100, hkl 0 2 2
29.6°, I 95, hkl 2 0 2
34.0°, I 21, hkl 0 0 4
34.1°, I 41, hkl 2 2 0
48.4°, I 16, hkl 0 4 0
48.9°, I 62, hkl 2 2 4
57.8°, I 28, hkl 2 4 2
58.6°, I 27, hkl 4 2 2

---

Record 2
Computed X-ray powder pattern of MgSi2 for Cu Ka, from a cell relaxed with GGA-PBE.
No peak broadening, texture or thermal motion is included.

Crystal structure
abc: 4.6189 5.5075 7.5767
angles: 90.00 90.00 90.00
Space group Imma (No. 74)
Inequivalent atoms, fractional coordinates:
Mg 0.0000 0.2500 0.0036 x4
Si 0.0000 0.0055 0.6670 x8

Main lines, by angle (2θ = 10–90°):
39.0°, I 57, hkl 2 0 0
39.9°, I 91, hkl 1 2 1
40.5°, I 44, hkl 0 2 2
40.7°, I 100, hkl 1 0 3
57.5°, I 30, hkl 2 2 2
71.3°, I 16, hkl 3 2 1
71.8°, I 18, hkl 3 0 3
82.5°, I 24, hkl 1 4 3

---

Record 3
Computed X-ray powder pattern of HoLuMg2 for Cu Ka, from a cell relaxed with GGA-PBE.
No peak broadening, texture or thermal motion is included.

Crystal structure
abc: 7.5075 7.5075 7.5075
angles: 90.00 90.00 90.00
Space group Fm-3m (No. 225)
Inequivalent atoms, fractional coordinates:
Ho 0.0000 0.0000 0.0000 x4
Lu 0.0000 0.0000 0.5000 x4
Mg 0.2500 0.2500 0.2500 x8

Main lines, by angle (2θ = 10–90°):
23.7°, I 65, hkl 2 0 0
33.8°, I 100, hkl 2 2 0
41.7°, I 20, hkl 2 2 2
48.5°, I 18, hkl 4 0 0
54.7°, I 28, hkl 4 2 0
60.4°, I 38, hkl 4 2 2
76.1°, I 13, hkl 6 0 0
81.0°, I 16, hkl 6 2 0

---

Record 4
Computed X-ray powder pattern of HoH9C5N2O8 for Cu Ka, from a cell relaxed with GGA-PBE.
No peak broadening, texture or thermal motion is included.

Crystal structure
abc: 11.2472 7.2780 6.6473
angles: 90.00 107.52 90.00
Space group C2 (No. 5)
Inequivalent atoms, fractional coordinates:
Ho 0.0000 0.0000 0.0000 x2
H 0.0000 0.9174 0.5000 x2
H 0.0106 0.5507 0.1822 x4
H 0.1271 0.3931 0.4604 x4
H 0.1879 0.3489 0.8745 x4
H 0.2227 0.5811 0.5786 x4
C 0.0000 0.0686 0.5000 x2
C 0.0875 0.6268 0.2935 x4
C 0.2361 0.2930 0.0337 x4
N 0.1525 0.5272 0.4564 x4
O 0.0043 0.1503 0.3327 x4
O 0.1080 0.7920 0.2617 x4
O 0.1524 0.8382 0.8776 x4
O 0.1729 0.1860 0.1143 x4

Main lines, by angle (2θ = 10–90°):
14.0°, I 46, hkl 0 0 1
14.7°, I 100, hkl 1 1 0
16.5°, I 30, hkl 2 0 0
18.2°, I 22, hkl 2 0 -1
18.5°, I 46, hkl 1 1 -1
22.0°, I 41, hkl 1 1 1
27.8°, I 26, hkl 3 1 0
37.6°, I 23, hkl 0 2 2

---

Record 5
Computed X-ray powder pattern of Lu2MnSe4 for Cu Ka, from a cell relaxed with GGA-PBE.
No peak broadening, texture or thermal motion is included.

Crystal structure
abc: 11.4406 11.4406 11.4406
angles: 90.00 90.00 90.00
Space group Fd-3m (No. 227, origin choice 2)
Inequivalent atoms, fractional coordinates:
Lu 0.0000 0.0000 0.0000 x16
Mn 0.1250 0.1250 0.6250 x8
Se 0.0042 0.0042 0.2458 x32

Main lines, by angle (2θ = 10–90°):
13.4°, I 54, hkl 1 1 1
25.8°, I 75, hkl 3 1 1
31.3°, I 97, hkl 4 0 0
41.0°, I 35, hkl 5 1 1
44.8°, I 100, hkl 4 4 0
55.7°, I 25, hkl 4 4 4
74.1°, I 32, hkl 8 4 0
82.6°, I 33, hkl 8 4 4